Simulated powder X-ray diffraction pattern
Compound: AcTm2MgHg4
Radiation: CuKα
Structure: the PBE geometry in Alexandria
Peak positions follow from Bragg's law for the DFT cell and can differ from measured ones.

The 10 most intense peaks (10 to 90 degrees two-theta), low angle first:
2θ/deg	I_rel
25.51	26
32.16	90
35.41	100
40.11	13
45.89	9
48.58	29
61.54	29
63.58	19
74.93	12
83.88	12

```
AcTm2MgHg4
1.0
2.5348 1.4634 9.5976
-2.5348 1.4634 9.5976
0.0000 -2.9269 9.5976
Ac Tm Mg Hg
1 2 1 4
Direct
0.0000 0.0000 0.0000
0.2365 0.2365 0.2365
0.7635 0.7635 0.7635
0.5000 0.5000 0.5000
0.1278 0.1278 0.1278
0.3928 0.3928 0.3928
0.6072 0.6072 0.6072
0.8722 0.8722 0.8722
```

Simulated powder X-ray diffraction pattern
Compound: Li2AcSnRh
Radiation: CuKα
Structure: the PBE geometry in Alexandria
Peak positions follow from Bragg's law for the DFT cell and can differ from measured ones.

The 10 most intense peaks (10 to 90 degrees two-theta), low angle first:
2θ/deg	I_rel
13.98	46
21.26	36
23.66	17
28.16	20
29.22	28
30.38	17
31.05	28
33.58	100
40.76	19
42.41	22

```
Li2AcSnRh
1.0
-1.9685 2.2138 6.3367
1.9685 -2.2138 6.3367
1.9685 2.2138 -6.3367
Li Ac Sn Rh
2 1 1 1
Direct
0.0000 0.0000 0.0000
0.8451 0.3451 0.5000
0.2134 0.7134 0.5000
0.4823 0.4823 0.0000
0.6356 0.1356 0.5000
```

Simulated powder X-ray diffraction pattern
Compound: AcNd2TmTl2
Radiation: CuKα
Structure: the PBE geometry in Alexandria
Peak positions follow from Bragg's law for the DFT cell and can differ from measured ones.

The 10 most intense peaks (10 to 90 degrees two-theta), low angle first:
2θ/deg	I_rel
27.68	19
28.06	76
29.23	100
29.84	20
32.73	26
33.49	38
35.12	33
36.69	74
52.84	22
57.84	17

```
AcNd2TmTl2
1.0
4.8953 0.0000 0.0000
0.0000 9.5866 0.0000
0.0000 0.0000 8.5637
Ac Nd Tm Tl
2 4 2 4
Direct
0.0000 0.0824 0.0000
0.0000 0.9176 0.5000
0.0000 0.3250 0.3838
0.0000 0.6750 0.8838
0.5000 0.4205 0.0498
0.5000 0.5795 0.5498
0.5000 0.1897 0.6652
0.5000 0.8103 0.1652
0.0000 0.3706 0.7571
0.0000 0.6294 0.2571
0.5000 0.1216 0.2913
0.5000 0.8784 0.7913
```

Simulated powder X-ray diffraction pattern
Compound: Al2Pd4Pt
Radiation: CuKα
Structure: the PBE geometry in Alexandria
Peak positions follow from Bragg's law for the DFT cell and can differ from measured ones.

The 10 most intense peaks (10 to 90 degrees two-theta), low angle first:
2θ/deg	I_rel
20.00	26
31.97	63
32.66	45
38.30	100
41.09	36
41.78	57
42.19	86
45.19	32
53.56	29
70.75	20

```
Al2Pd4Pt
1.0
4.9314 0.0000 0.0000
0.0000 10.2003 0.0000
0.0000 0.0000 4.3237
Al Pd Pt
4 8 2
Direct
0.2423 0.0861 0.0000
0.2577 0.5861 0.0000
0.7423 0.4139 0.0000
0.7577 0.9139 0.0000
0.0676 0.1875 0.5000
0.2320 0.3435 0.0000
0.2680 0.8435 0.0000
0.4324 0.6875 0.5000
0.5676 0.3125 0.5000
0.7320 0.1565 0.0000
0.7680 0.6565 0.0000
0.9324 0.8125 0.5000
0.0000 0.5000 0.5000
0.5000 0.0000 0.5000
```

Simulated powder X-ray diffraction pattern
Compound: Sm3Cu8Pd
Radiation: CuKα
Structure: the PBE geometry in Alexandria
Peak positions follow from Bragg's law for the DFT cell and can differ from measured ones.

The 10 most intense peaks (10 to 90 degrees two-theta), low angle first:
2θ/deg	I_rel
28.86	21
34.62	57
37.40	84
40.73	100
41.62	65
63.89	34
66.20	23
69.10	24
73.05	24
85.07	15

```
Sm3Cu8Pd
1.0
5.1813 0.0000 0.0000
-2.5907 4.4871 0.0000
0.0000 0.0000 8.5428
Sm Cu Pd
3 8 1
Direct
0.0000 0.0000 0.0000
0.0000 0.0000 0.3956
0.3333 0.6667 0.8358
0.0043 0.5022 0.1898
0.3391 0.1696 0.6794
0.4978 0.5022 0.1898
0.4978 0.9957 0.1898
0.6667 0.3333 0.4354
0.6667 0.3333 0.9429
0.8304 0.1696 0.6794
0.8304 0.6609 0.6794
0.3333 0.6667 0.4771
```

Simulated powder X-ray diffraction pattern
Compound: TmBeCu4
Radiation: CuKα
Structure: the PBE geometry in Alexandria
Peak positions follow from Bragg's law for the DFT cell and can differ from measured ones.

The 10 most intense peaks (10 to 90 degrees two-theta), low angle first:
2θ/deg	I_rel
22.12	49
25.90	38
36.28	34
37.62	93
42.90	100
43.49	88
44.65	39
45.12	34
66.15	34
77.03	24

```
TmBeCu4
1.0
2.4761 1.4296 3.8400
-2.4761 1.4296 3.8400
0.0000 -2.8591 3.8400
Tm Be Cu
1 1 4
Direct
0.0000 0.0000 0.0000
0.6164 0.6164 0.6164
0.1246 0.6200 0.6200
0.2525 0.2525 0.2525
0.6200 0.1246 0.6200
0.6200 0.6200 0.1246
```

Simulated powder X-ray diffraction pattern
Compound: NaSr3Se4
Radiation: CuKα
Structure: the PBE geometry in Alexandria
Peak positions follow from Bragg's law for the DFT cell and can differ from measured ones.

The 10 most intense peaks (10 to 90 degrees two-theta), low angle first:
2θ/deg	I_rel
14.14	6
20.06	5
28.51	100
31.96	3
40.76	75
50.49	27
59.01	12
66.82	34
74.20	25
88.29	8

```
NaSr3Se4
1.0
6.2613 0.0000 0.0000
0.0000 6.2613 0.0000
0.0000 0.0000 6.2613
Na Sr Se
1 3 4
Direct
0.0000 0.0000 0.0000
0.0000 0.5000 0.5000
0.5000 0.0000 0.5000
0.5000 0.5000 0.0000
0.0000 0.0000 0.5000
0.0000 0.5000 0.0000
0.5000 0.0000 0.0000
0.5000 0.5000 0.5000
```

Simulated powder X-ray diffraction pattern
Compound: TaHg2
Radiation: CuKα
Structure: the PBE geometry in Alexandria
Peak positions follow from Bragg's law for the DFT cell and can differ from measured ones.

The 10 most intense peaks (10 to 90 degrees two-theta), low angle first:
2θ/deg	I_rel
34.19	97
37.66	100
38.11	46
41.90	21
43.74	67
62.82	24
64.01	36
73.50	22
75.61	29
75.90	26

```
TaHg2
1.0
-1.4793 1.4793 14.1680
1.4793 -1.4793 14.1680
1.4793 1.4793 -14.1680
Ta Hg
2 4
Direct
0.3750 0.6250 0.7500
0.6250 0.3750 0.2500
0.0469 0.7969 0.2500
0.2031 0.9531 0.2500
0.7969 0.0469 0.7500
0.9531 0.2031 0.7500
```